# 1
La2Ag4S5: theoretical PXRD pattern (Cu Ka), based on a GGA-PBE-relaxed structure.
Neutral-atom scattering factors, no anomalous dispersion.

Crystal structure
```
data_La2Ag4S5
_cell_length_a 4.1938
_cell_length_b 4.1938
_cell_length_c 52.2462
_cell_angle_alpha 90.00
_cell_angle_beta 90.00
_cell_angle_gamma 120.00
_space_group_name_H-M_alt 'R -3 m'
_space_group_IT_number 166
_space_group_name_Hall '-R 3 2"'
loop_
_atom_site_label
_atom_site_fract_x
_atom_site_fract_y
_atom_site_fract_z
_atom_site_occupancy
La1 0.0000 0.0000 0.1335 1
Ag1 0.0000 0.0000 0.3070 1
Ag2 0.0000 0.0000 0.4136 1
S1 0.0000 0.0000 0.2296 1
S2 0.0000 0.0000 0.3665 1
S3 0.0000 0.0000 0.5000 1
```

The 10 most intense peaks (2θ from 10° to 80°), by angle:
| d [Å] | 2θ/deg | I (rel.) | (hkl) |
| --- | --- | --- | --- |
| 3.499 | 25.5 | 40.7 | 1 0 4 |
| 3.266 | 27.3 | 51.0 | 1 0 7 |
| 2.903 | 30.8 | 29.7 | 0 0 18 |
| 2.885 | 31.0 | 100.0 | 0 1 11 |
| 2.603 | 34.5 | 11.7 | 0 1 14 |
| 2.097 | 43.1 | 67.3 | 1 1 0 |
| 1.988 | 45.6 | 25.6 | 1 0 22 |
| 1.700 | 53.9 | 35.4 | 1 1 18 |
| 1.696 | 54.1 | 19.9 | 2 0 11 |
| 1.319 | 71.5 | 16.8 | 1 2 11 |

# 2
La5ScAg4: theoretical PXRD pattern (Cu Ka), based on a GGA-PBE-relaxed structure.
Neutral-atom scattering factors, no anomalous dispersion.

Crystal structure
```
data_La5ScAg4
_cell_length_a 3.8054
_cell_length_b 3.8054
_cell_length_c 19.7427
_cell_angle_alpha 90.00
_cell_angle_beta 90.00
_cell_angle_gamma 90.00
_space_group_name_H-M_alt 'P 4/m m m'
_space_group_IT_number 123
_space_group_name_Hall '-P 4 2'
loop_
_atom_site_label
_atom_site_fract_x
_atom_site_fract_y
_atom_site_fract_z
_atom_site_occupancy
La1 0.0000 0.0000 0.0000 1
La2 0.0000 0.0000 0.1962 1
La3 0.0000 0.0000 0.3905 1
Sc1 0.5000 0.5000 0.5000 1
Ag1 0.5000 0.5000 0.0973 1
Ag2 0.5000 0.5000 0.2969 1
```

The 10 most intense peaks (2θ from 10° to 80°), by angle:
| d [Å] | 2θ/deg | I (rel.) | (hkl) |
| --- | --- | --- | --- |
| 2.740 | 32.7 | 100.0 | 1 0 5 |
| 2.691 | 33.3 | 48.9 | 1 1 0 |
| 1.974 | 46.0 | 8.7 | 0 0 10 |
| 1.903 | 47.8 | 17.7 | 2 0 0 |
| 1.592 | 57.9 | 17.2 | 1 1 10 |
| 1.563 | 59.1 | 35.2 | 2 1 5 |
| 1.370 | 68.5 | 10.3 | 2 0 10 |
| 1.244 | 76.6 | 6.5 | 1 0 15 |
| 1.208 | 79.3 | 7.4 | 3 0 5 |
| 1.203 | 79.7 | 7.5 | 3 1 0 |